Computed X-ray diffraction stick pattern of Sm2Fe20Si2C for Cu Kα (λ = 1.5418 Å), from a structure optimized by DFT (PBE).
Kinematic intensities with the Lorentz-polarization factor, no thermal factor.

The 10 most intense peaks (2θ = 5–70°), low angle first:
2θ (°), I (rel.), h k l
25.0, 18, 0 2 0
30.9, 19, 2 2 1
35.1, 24, 1 1 3
39.7, 52, 2 0 -1
39.8, 69, 0 1 3
40.0, 34, 2 -1 2
40.2, 100, 0 3 -1
40.3, 53, 0 1 -3
43.5, 24, 3 1 1
43.6, 25, 3 2 1

Structural model:
```
data_Sm2Fe20Si2C
_symmetry_space_group_name_H-M 'P -1'
_symmetry_Int_Tables_number 2
_cell_length_a 6.3685
_cell_length_b 7.7779
_cell_length_c 7.7898
_cell_angle_alpha 79.87
_cell_angle_beta 66.17
_cell_angle_gamma 66.45
loop_
_symmetry_equiv_pos_as_xyz
'x,y,z'
'-x,-y,-z'
loop_
_atom_site_label
_atom_site_type_symbol
_atom_site_fract_x
_atom_site_fract_y
_atom_site_fract_z
Sm1 Sm 0.1296 0.2459 0.2485
Fe1 Fe 0.0000 0.0000 0.0000
Fe2 Fe 0.0581 0.0774 0.6648
Fe3 Fe 0.0646 0.6748 0.0833
Fe4 Fe 0.2193 0.5813 0.3381
Fe5 Fe 0.2420 0.3225 0.5769
Fe6 Fe 0.3105 0.8278 0.4204
Fe7 Fe 0.3213 0.4211 0.8240
Fe8 Fe 0.3563 0.0779 0.8210
Fe9 Fe 0.3616 0.8335 0.0801
Fe10 Fe 0.3800 0.7508 0.7472
Fe11 Fe 0.5000 0.5000 0.0000
Si1 Si 0.5000 0.0000 0.5000
Si2 Si 0.5000 0.5000 0.5000
C1 C 0.0000 0.5000 0.0000
```